For Pm5PrSi3, a structure optimized by DFT (PBE) gives the calculated XRD peak list in this record (Cu Kα X-rays).

Cell and atoms:
```
data_Pm5PrSi3
_chemical_formula_sum 'Pm20 Pr4 Si12'
_cell_length_a 13.1150
_cell_length_b 9.6697
_cell_length_c 10.6855
_cell_angle_alpha 90.00
_cell_angle_beta 113.75
_cell_angle_gamma 90.00
_space_group_name_H-M_alt 'C 1 2/m 1'
_space_group_IT_number 12
_space_group_name_Hall '-C 2y'
loop_
_atom_site_label
_atom_site_type_symbol
_atom_site_fract_x
_atom_site_fract_y
_atom_site_fract_z
Pm1 Pm 0.0000 0.1999 0.0000
Pm2 Pm 0.0717 0.0000 0.3705
Pm3 Pm 0.1658 0.3000 0.6678
Pm4 Pm 0.2327 0.5000 0.0311
Pr1 Pr 0.1039 0.5000 0.3026
Si1 Si 0.0000 0.5000 0.0000
Si2 Si 0.0000 0.5000 0.5000
Si3 Si 0.1616 0.0000 0.6703
Si4 Si 0.1665 0.0000 0.1667
```

Largest 6 diffraction maxima, in order of rising 2θ, 2θ from 15° to 90°:
25.96°, d 3.432, intensity 35, (2 2 -2)
27.40°, d 3.255, intensity 100, (0 0 3)
29.00°, d 3.079, intensity 16, (3 1 -3)
29.18°, d 3.060, intensity 16, (1 3 -1)
44.67°, d 2.029, intensity 26, (1 3 -4)
49.30°, d 1.849, intensity 12, (6 2 0)

***

For AcP3Pd6, a structure optimized by DFT (PBE) gives the calculated XRD peak list in this record (Cu Kα X-rays).

Cell and atoms:
```
data_AcP3Pd6
_chemical_formula_sum 'Ac3 P9 Pd18'
_cell_length_a 6.3162
_cell_length_b 6.3162
_cell_length_c 15.8526
_cell_angle_alpha 90.00
_cell_angle_beta 90.00
_cell_angle_gamma 120.00
_space_group_name_H-M_alt 'R 3'
_space_group_IT_number 146
_space_group_name_Hall 'R 3'
loop_
_atom_site_label
_atom_site_type_symbol
_atom_site_fract_x
_atom_site_fract_y
_atom_site_fract_z
Ac1 Ac 0.0000 0.0000 0.0000
P1 P 0.0000 0.0000 0.2892
P2 P 0.0000 0.0000 0.5910
P3 P 0.0000 0.0000 0.8161
Pd1 Pd 0.0310 0.4266 0.8557
Pd2 Pd 0.1765 0.3610 0.3699
```

Largest 6 diffraction maxima, in order of rising 2θ, 2θ from 15° to 90°:
33.04°, d 2.711, intensity 57, (1 1 3)
33.24°, d 2.695, intensity 100, (0 2 1)
33.93°, d 2.642, intensity 41, (0 0 6)
34.70°, d 2.585, intensity 47, (2 0 2)
40.06°, d 2.251, intensity 40, (0 2 4)
43.71°, d 2.071, intensity 42, (2 0 5)

***

For HoNbC2, a structure optimized by DFT (PBE) gives the calculated XRD peak list in this record (Cu Kα X-rays).

Cell and atoms:
```
data_HoNbC2
_chemical_formula_sum 'Ho4 Nb4 C8'
_cell_length_a 5.7355
_cell_length_b 3.4861
_cell_length_c 11.1159
_cell_angle_alpha 90.00
_cell_angle_beta 90.00
_cell_angle_gamma 90.00
_space_group_name_H-M_alt 'P n m a'
_space_group_IT_number 62
_space_group_name_Hall '-P 2ac 2n'
loop_
_atom_site_label
_atom_site_type_symbol
_atom_site_fract_x
_atom_site_fract_y
_atom_site_fract_z
Ho1 Ho 0.0851 0.2500 0.1399
Nb1 Nb 0.0952 0.7500 0.3941
C1 C 0.1486 0.2500 0.7523
C2 C 0.2276 0.2500 0.4854
```

Largest 6 diffraction maxima, in order of rising 2θ, 2θ from 15° to 90°:
31.08°, d 2.877, intensity 20, (1 1 1)
32.22°, d 2.778, intensity 60, (0 0 4)
34.15°, d 2.626, intensity 100, (1 1 2)
39.75°, d 2.268, intensity 18, (2 0 3)
55.43°, d 1.658, intensity 19, (3 1 1)
62.95°, d 1.476, intensity 18, (0 2 4)

***

Repeat the second record exactly.
For AcP3Pd6, a structure optimized by DFT (PBE) gives the calculated XRD peak list in this record (Cu Kα X-rays).

Cell and atoms:
```
data_AcP3Pd6
_chemical_formula_sum 'Ac3 P9 Pd18'
_cell_length_a 6.3162
_cell_length_b 6.3162
_cell_length_c 15.8526
_cell_angle_alpha 90.00
_cell_angle_beta 90.00
_cell_angle_gamma 120.00
_space_group_name_H-M_alt 'R 3'
_space_group_IT_number 146
_space_group_name_Hall 'R 3'
loop_
_atom_site_label
_atom_site_type_symbol
_atom_site_fract_x
_atom_site_fract_y
_atom_site_fract_z
Ac1 Ac 0.0000 0.0000 0.0000
P1 P 0.0000 0.0000 0.2892
P2 P 0.0000 0.0000 0.5910
P3 P 0.0000 0.0000 0.8161
Pd1 Pd 0.0310 0.4266 0.8557
Pd2 Pd 0.1765 0.3610 0.3699
```

Largest 6 diffraction maxima, in order of rising 2θ, 2θ from 15° to 90°:
33.04°, d 2.711, intensity 57, (1 1 3)
33.24°, d 2.695, intensity 100, (0 2 1)
33.93°, d 2.642, intensity 41, (0 0 6)
34.70°, d 2.585, intensity 47, (2 0 2)
40.06°, d 2.251, intensity 40, (0 2 4)
43.71°, d 2.071, intensity 42, (2 0 5)